Calculated powder XRD pattern of Pm2PtI8 for Cu Kα (weighted mean of Kα1 and Kα2), from a crystal structure in Alexandria, relaxed with PBE.
Intensities are scaled so that the largest is 1000.

Structural model:
Cell: 9.016 9.016 10.846 Å, 106.70 106.70 49.25°
Atoms (fractional coordinates):
Pm (0.232, 0.232, 0.320)
Pm (0.768, 0.768, 0.680)
Pt (0.000, 0.000, 0.000)
I (0.136, 0.643, 0.882)
I (0.215, 0.215, 0.590)
I (0.357, 0.864, 0.118)
I (0.401, 0.401, 0.292)
I (0.599, 0.599, 0.708)
I (0.643, 0.136, 0.882)
I (0.785, 0.785, 0.410)
I (0.864, 0.357, 0.118)

Most intense lines, 15 to 90 degrees two-theta, low angle first:
Position (°2θ)	d/Å	I_rel
17.40	5.096	1000
20.35	4.364	342
25.24	3.529	366
28.76	3.104	494
28.89	3.090	727
31.12	2.874	417
33.16	2.702	415
35.44	2.533	435
40.89	2.207	435
41.36	2.183	317

---

Calculated powder XRD pattern of Pm7PtI12 for Cu Kα (weighted mean of Kα1 and Kα2), from a crystal structure in Alexandria, relaxed with PBE.
Intensities are scaled so that the largest is 1000.

Structural model:
Cell: 9.986 9.986 9.986 Å, 107.51 107.51 107.51°
Atoms (fractional coordinates):
Pm (0.000, 0.000, 0.000)
Pm (0.192, 0.395, 0.468)
Pm (0.395, 0.468, 0.192)
Pm (0.468, 0.192, 0.395)
Pm (0.532, 0.808, 0.605)
Pm (0.605, 0.532, 0.808)
Pm (0.808, 0.605, 0.532)
Pt (0.500, 0.500, 0.500)
I (0.028, 0.342, 0.109)
I (0.109, 0.028, 0.342)
I (0.182, 0.725, 0.575)
I (0.275, 0.425, 0.818)
I (0.342, 0.109, 0.028)
I (0.425, 0.818, 0.275)
I (0.575, 0.182, 0.725)
I (0.658, 0.891, 0.972)
I (0.725, 0.575, 0.182)
I (0.818, 0.275, 0.425)
I (0.891, 0.972, 0.658)
I (0.972, 0.658, 0.891)

Most intense lines, 15 to 90 degrees two-theta, low angle first:
Position (°2θ)	d/Å	I_rel
24.42	3.645	159
28.27	3.157	1000
40.41	2.232	728
47.78	1.904	97
50.02	1.823	182
50.13	1.820	59
58.48	1.578	115
66.20	1.412	285
73.42	1.290	52
73.47	1.289	102

---

Calculated powder XRD pattern of PmYPtI for Cu Kα (weighted mean of Kα1 and Kα2), from a crystal structure in Alexandria, relaxed with PBE.
Intensities are scaled so that the largest is 1000.

Structural model:
Cell: 8.374 8.374 8.374 Å, 29.04 29.04 29.04°
Atoms (fractional coordinates):
Pm (0.000, 0.000, 0.000)
Y (0.210, 0.210, 0.210)
Pt (0.603, 0.603, 0.603)
I (0.775, 0.775, 0.775)

Most intense lines, 15 to 90 degrees two-theta, low angle first:
Position (°2θ)	d/Å	I_rel
24.76	3.595	159
25.60	3.480	214
30.83	2.900	1000
35.97	2.497	170
43.09	2.099	463
45.21	2.005	262
53.92	1.701	207
55.74	1.649	152
64.24	1.450	161
71.38	1.321	178